(1)
Ac8Sm2Dy3: calculated XRD peak list (Cu Kα (λ = 1.5418 Å)), based on a PBE-relaxed structure.
Intensities are scaled so that the largest is 100.

Peak list (8 most intense, 10 to 80 degrees two-theta, by angle)
(1 1 -2), 28.45 deg, d = 3.137 Å, rel. 100; (2 1 1), 28.56 deg, d = 3.125 Å, rel. 99; (1 0 3), 32.87 deg, d = 2.725 Å, rel. 35; (-2 1 2), 33.12 deg, d = 2.705 Å, rel. 67; (-1 1 5), 47.27 deg, d = 1.923 Å, rel. 26; (3 -1 1), 47.40 deg, d = 1.918 Å, rel. 25; (4 0 -1), 56.26 deg, d = 1.635 Å, rel. 23; (-3 3 2), 56.40 deg, d = 1.631 Å, rel. 30

Cell and atoms:
a b c (Å): 6.637 8.539 10.158
angles (deg): 65.46 89.94 82.62
Space group P-1 (No. 2)
Inequivalent atoms, fractional coordinates:
1 Ac 0.080 0.045 0.304 x2
2 Ac 0.159 0.581 0.614 x2
3 Ac 0.235 0.118 0.921 x2
4 Ac 0.307 0.644 0.226 x2
5 Sm 0.388 0.182 0.540 x2
6 Dy 0.000 0.500 0.000 x1
7 Dy 0.462 0.726 0.848 x2

(2)
Ac3Sm2Dy6: calculated XRD peak list (Cu Kα (λ = 1.5418 Å)), based on a PBE-relaxed structure.
Intensities are scaled so that the largest is 100.

Peak list (8 most intense, 10 to 80 degrees two-theta, by angle)
(1 3 1), 29.77 deg, d = 3.001 Å, rel. 100; (0 0 4), 30.98 deg, d = 2.887 Å, rel. 29; (1 3 -3), 34.84 deg, d = 2.575 Å, rel. 44; (2 0 2), 34.94 deg, d = 2.568 Å, rel. 22; (0 6 0), 49.34 deg, d = 1.847 Å, rel. 25; (1 3 5), 50.93 deg, d = 1.793 Å, rel. 22; (0 6 4), 59.36 deg, d = 1.557 Å, rel. 20; (2 6 2), 61.83 deg, d = 1.500 Å, rel. 13

Cell and atoms:
a b c (Å): 6.391 11.093 11.747
angles (deg): 90.00 100.59 90.00
Space group C2/m (No. 12)
Inequivalent atoms, fractional coordinates:
1 Ac 0.000 0.000 0.000 x2
2 Ac 0.000 0.335 0.000 x4
3 Sm 0.000 0.166 0.500 x4
4 Dy 0.246 0.334 0.741 x8
5 Dy 0.249 0.000 0.742 x4

(3)
Ac3SmDy: calculated XRD peak list (Cu Kα (λ = 1.5418 Å)), based on a PBE-relaxed structure.
Intensities are scaled so that the largest is 100.

Peak list (8 most intense, 10 to 80 degrees two-theta, by angle)
(1 1 3), 26.09 deg, d = 3.415 Å, rel. 100; (1 2 2), 26.89 deg, d = 3.316 Å, rel. 28; (2 1 0), 28.77 deg, d = 3.103 Å, rel. 56; (0 3 1), 29.20 deg, d = 3.059 Å, rel. 58; (1 2 3), 30.91 deg, d = 2.893 Å, rel. 75; (1 1 4), 31.72 deg, d = 2.821 Å, rel. 46; (3 0 3), 46.27 deg, d = 1.962 Å, rel. 30; (2 1 6), 50.78 deg, d = 1.798 Å, rel. 28

Cell and atoms:
a b c (Å): 6.572 9.431 13.241
angles (deg): 90.00 90.00 90.00
Space group Pnna (No. 52)
Inequivalent atoms, fractional coordinates:
1 Ac 0.087 0.173 0.074 x8
2 Ac 0.136 0.250 0.750 x4
3 Sm 0.250 0.000 0.558 x4
4 Dy 0.250 0.000 0.306 x4

(4)
Ac14SmDy: calculated XRD peak list (Cu Kα (λ = 1.5418 Å)), based on a PBE-relaxed structure.
Intensities are scaled so that the largest is 100.

Peak list (8 most intense, 10 to 80 degrees two-theta, by angle)
(2 2 2), 27.67 deg, d = 3.224 Å, rel. 100; (4 0 0), 31.93 deg, d = 2.803 Å, rel. 17; (0 4 0), 32.13 deg, d = 2.786 Å, rel. 34; (4 4 0), 45.93 deg, d = 1.976 Å, rel. 26; (0 4 4), 46.07 deg, d = 1.970 Å, rel. 13; (6 2 2), 54.33 deg, d = 1.688 Å, rel. 16; (2 6 2), 54.60 deg, d = 1.681 Å, rel. 32; (4 4 4), 57.15 deg, d = 1.612 Å, rel. 14

Cell and atoms:
a b c (Å): 11.213 11.144 11.144
angles (deg): 90.00 90.00 90.00
Space group Amm2 (No. 38)
Inequivalent atoms, fractional coordinates:
1 Ac 0.000 0.000 0.000 x2
2 Ac 0.000 0.000 0.500 x2
3 Ac 0.000 0.249 0.250 x4
4 Ac 0.255 0.000 0.749 x4
5 Ac 0.256 0.249 0.500 x8
6 Ac 0.257 0.000 0.250 x4
7 Ac 0.500 0.249 0.750 x4
8 Sm 0.500 0.000 0.000 x2
9 Dy 0.500 0.000 0.500 x2

(5)
AcSm12Dy5: calculated XRD peak list (Cu Kα (λ = 1.5418 Å)), based on a PBE-relaxed structure.
Intensities are scaled so that the largest is 100.

Peak list (7 most intense, 10 to 80 degrees two-theta, by angle)
(3 3 1), 30.21 deg, d = 2.959 Å, rel. 100; (0 0 2), 35.02 deg, d = 2.562 Å, rel. 51; (6 0 2), 50.36 deg, d = 1.812 Å, rel. 36; (3 3 3), 59.86 deg, d = 1.545 Å, rel. 43; (6 6 2), 62.81 deg, d = 1.479 Å, rel. 12; (12 0 0), 73.94 deg, d = 1.282 Å, rel. 4; (0 0 4), 74.07 deg, d = 1.280 Å, rel. 2

Cell and atoms:
a b c (Å): 15.378 15.385 5.120
angles (deg): 90.00 90.00 90.00
Space group Cmmm (No. 65)
Inequivalent atoms, fractional coordinates:
1 Ac 0.000 0.000 0.000 x2
2 Sm 0.165 0.334 0.500 x8
3 Sm 0.165 0.500 0.000 x4
4 Sm 0.168 0.169 0.000 x8
5 Sm 0.171 0.000 0.500 x4
6 Dy 0.000 0.171 0.500 x4
7 Dy 0.000 0.334 0.000 x4
8 Dy 0.000 0.500 0.500 x2

(6)
AcSm12Dy3: calculated XRD peak list (Cu Kα (λ = 1.5418 Å)), based on a PBE-relaxed structure.
Intensities are scaled so that the largest is 100.

Peak list (8 most intense, 10 to 80 degrees two-theta, by angle)
(1 1 3), 27.80 deg, d = 3.209 Å, rel. 1; (1 1 4), 30.13 deg, d = 2.966 Å, rel. 100; (2 0 0), 34.93 deg, d = 2.569 Å, rel. 51; (2 2 0), 50.23 deg, d = 1.816 Å, rel. 36; (1 1 11), 55.28 deg, d = 1.662 Å, rel. 1; (3 1 4), 59.69 deg, d = 1.549 Å, rel. 43; (2 2 8), 62.64 deg, d = 1.483 Å, rel. 12; (4 0 0), 73.77 deg, d = 1.284 Å, rel. 6

Cell and atoms:
a b c (Å): 5.137 5.137 20.556
angles (deg): 90.00 90.00 90.00
Space group P4/mmm (No. 123)
Inequivalent atoms, fractional coordinates:
1 Ac 0.000 0.000 0.000 x1
2 Sm 0.000 0.500 0.131 x4
3 Sm 0.000 0.500 0.377 x4
4 Sm 0.500 0.500 0.000 x1
5 Sm 0.500 0.500 0.255 x2
6 Sm 0.500 0.500 0.500 x1
7 Dy 0.000 0.000 0.253 x2
8 Dy 0.000 0.000 0.500 x1

(7)
Ac6Sm3Dy: calculated XRD peak list (Cu Kα (λ = 1.5418 Å)), based on a PBE-relaxed structure.
Intensities are scaled so that the largest is 100.

Peak list (8 most intense, 10 to 80 degrees two-theta, by angle)
(0 0 3), 27.14 deg, d = 3.286 Å, rel. 32; (3 2 1), 28.18 deg, d = 3.167 Å, rel. 100; (5 -3 2), 32.35 deg, d = 2.767 Å, rel. 79; (3 2 4), 45.74 deg, d = 1.984 Å, rel. 27; (1 7 0), 47.06 deg, d = 1.931 Å, rel. 27; (8 -1 3), 55.17 deg, d = 1.665 Å, rel. 24; (10 -6 1), 55.74 deg, d = 1.649 Å, rel. 16; (6 4 2), 58.26 deg, d = 1.584 Å, rel. 14

Cell and atoms:
a b c (Å): 16.8335 16.8335 9.8566
angles (deg): 90.00 90.00 120.00
Space group R-3 (No. 148, hexagonal axes)
Inequivalent atoms, fractional coordinates:
1 Ac 0.0308 0.2642 0.3502 x18
2 Ac 0.0711 0.5660 0.6611 x18
3 Sm 0.0157 0.1494 0.7062 x18
4 Dy 0.0000 0.0000 0.0000 x3
5 Dy 0.0000 0.0000 0.5000 x3

(8)
Ac2Sm9Dy: calculated XRD peak list (Cu Kα (λ = 1.5418 Å)), based on a PBE-relaxed structure.
Intensities are scaled so that the largest is 100.

Peak list (8 most intense, 10 to 80 degrees two-theta, by angle)
(0 0 3), 17.04 deg, d = 5.202 Å, rel. 2; (1 1 3), 29.75 deg, d = 3.003 Å, rel. 100; (2 0 0), 34.48 deg, d = 2.601 Å, rel. 51; (2 2 0), 49.56 deg, d = 1.839 Å, rel. 36; (3 1 3), 58.88 deg, d = 1.568 Å, rel. 43; (2 2 6), 61.78 deg, d = 1.502 Å, rel. 12; (0 0 12), 72.64 deg, d = 1.302 Å, rel. 2; (4 0 0), 72.74 deg, d = 1.300 Å, rel. 4

Cell and atoms:
a b c (Å): 5.200 5.200 15.619
angles (deg): 90.00 90.00 90.00
Space group P4/mmm (No. 123)
Inequivalent atoms, fractional coordinates:
1 Ac 0.000 0.000 0.169 x2
2 Sm 0.000 0.500 0.000 x2
3 Sm 0.000 0.500 0.340 x4
4 Sm 0.500 0.500 0.170 x2
5 Sm 0.500 0.500 0.500 x1
6 Dy 0.000 0.000 0.500 x1

(9)
AcSm4Dy: calculated XRD peak list (Cu Kα (λ = 1.5418 Å)), based on a PBE-relaxed structure.
Intensities are scaled so that the largest is 100.

Peak list (8 most intense, 10 to 80 degrees two-theta, by angle)
(2 2 0), 26.58 deg, d = 3.354 Å, rel. 46; (0 0 2), 29.77 deg, d = 3.001 Å, rel. 61; (2 2 1), 30.54 deg, d = 2.928 Å, rel. 35; (0 6 1), 30.62 deg, d = 2.919 Å, rel. 100; (2 4 1), 34.33 deg, d = 2.612 Å, rel. 86; (2 2 2), 40.33 deg, d = 2.236 Å, rel. 31; (0 6 3), 53.36 deg, d = 1.717 Å, rel. 29; (2 4 3), 55.82 deg, d = 1.647 Å, rel. 22

Cell and atoms:
a b c (Å): 7.117 20.047 6.002
angles (deg): 90.00 90.10 90.00
Space group C2/c (No. 15)
Inequivalent atoms, fractional coordinates:
1 Ac 0.000 0.054 0.250 x4
2 Sm 0.244 0.386 0.250 x8
3 Sm 0.245 0.290 0.750 x8
4 Dy 0.000 0.449 0.750 x4

(10)
Ac3Sm3Dy2: calculated XRD peak list (Cu Kα (λ = 1.5418 Å)), based on a PBE-relaxed structure.
Intensities are scaled so that the largest is 100.

Peak list (8 most intense, 10 to 80 degrees two-theta, by angle)
(2 0 0), 29.18 deg, d = 3.060 Å, rel. 57; (1 1 2), 30.59 deg, d = 2.922 Å, rel. 100; (2 2 0), 41.75 deg, d = 2.164 Å, rel. 22; (3 1 2), 52.63 deg, d = 1.739 Å, rel. 45; (2 0 4), 55.23 deg, d = 1.663 Å, rel. 19; (2 2 4), 63.69 deg, d = 1.461 Å, rel. 12; (4 2 0), 68.58 deg, d = 1.368 Å, rel. 10; (3 3 2), 69.33 deg, d = 1.355 Å, rel. 10

Cell and atoms:
a b c (Å): 6.115 6.124 7.925
angles (deg): 90.00 90.00 90.00
Space group Pmmm (No. 47)
Inequivalent atoms, fractional coordinates:
1 Ac 0.000 0.000 0.000 x1
2 Ac 0.000 0.000 0.500 x1
3 Ac 0.500 0.500 0.000 x1
4 Sm 0.500 0.000 0.260 x2
5 Sm 0.500 0.500 0.500 x1
6 Dy 0.000 0.500 0.260 x2

(11)
Ac6SmDy2: calculated XRD peak list (Cu Kα (λ = 1.5418 Å)), based on a PBE-relaxed structure.
Intensities are scaled so that the largest is 100.

Peak list (8 most intense, 10 to 80 degrees two-theta, by angle)
(4 0 0), 22.53 deg, d = 3.947 Å, rel. 60; (0 2 2), 25.98 deg, d = 3.429 Å, rel. 49; (2 2 -2), 27.11 deg, d = 3.289 Å, rel. 51; (1 1 -3), 28.21 deg, d = 3.164 Å, rel. 91; (3 1 2), 28.34 deg, d = 3.149 Å, rel. 80; (2 2 2), 29.62 deg, d = 3.016 Å, rel. 100; (5 1 -1), 29.76 deg, d = 3.002 Å, rel. 66; (1 3 -1), 29.91 deg, d = 2.987 Å, rel. 96

Cell and atoms:
a b c (Å): 16.019 9.484 10.076
angles (deg): 90.00 99.79 90.00
Space group C2/c (No. 15)
Inequivalent atoms, fractional coordinates:
1 Ac 0.100 0.195 0.126 x8
2 Ac 0.119 0.434 0.833 x8
3 Ac 0.135 0.220 0.518 x8
4 Sm 0.000 0.102 0.750 x4
5 Dy 0.218 0.078 0.851 x8

(12)
AcSm10Dy4: calculated XRD peak list (Cu Kα (λ = 1.5418 Å)), based on a PBE-relaxed structure.
Intensities are scaled so that the largest is 100.

Peak list (8 most intense, 10 to 80 degrees two-theta, by angle)
(2 1 1), 20.26 deg, d = 4.384 Å, rel. 34; (1 1 2), 27.83 deg, d = 3.206 Å, rel. 68; (3 2 1), 28.41 deg, d = 3.142 Å, rel. 44; (2 4 0), 31.39 deg, d = 2.849 Å, rel. 100; (3 1 2), 34.33 deg, d = 2.612 Å, rel. 82; (5 1 0), 35.93 deg, d = 2.499 Å, rel. 31; (5 1 2), 44.87 deg, d = 2.020 Å, rel. 40; (6 2 0), 44.99 deg, d = 2.015 Å, rel. 30

Cell and atoms:
a b c (Å): 12.743 12.743 6.861
angles (deg): 90.00 90.00 90.00
Space group I4/m (No. 87)
Inequivalent atoms, fractional coordinates:
1 Ac 0.000 0.000 0.000 x2
2 Sm 0.000 0.500 0.250 x4
3 Sm 0.129 0.709 0.249 x16
4 Dy 0.067 0.179 0.500 x8